# 1
Simulated PXRD pattern
Compound: Mg5Si6
Radiation: Cu Kα, 1.54184 Å
Structure: a cell relaxed with PBE
Intensities are scaled so that the largest is 100.

The 8 most intense peaks (2θ from 10° to 80°), sorted by position:
2θ (°), d [Å], intensity
33.17, 2.701, 57
35.71, 2.514, 100
36.51, 2.461, 23
37.58, 2.394, 25
37.82, 2.379, 30
40.53, 2.226, 21
41.74, 2.164, 28
41.88, 2.157, 40

Atomic structure:
Cell lengths 4.334, 6.993, 13.916 Å; angles 101.68, 95.54, 95.03 degrees
Sites, in units of the cell vectors:
Mg1 0.097 0.249 0.170
Mg2 0.112 0.676 0.104
Mg3 0.177 0.936 0.330
Mg4 0.201 0.461 0.406
Mg5 0.354 0.416 0.743
Mg6 0.646 0.584 0.257
Mg7 0.799 0.539 0.594
Mg8 0.823 0.064 0.670
Mg9 0.888 0.324 0.896
Mg10 0.903 0.751 0.830
Si1 0.254 0.855 0.538
Si2 0.269 0.070 0.980
Si3 0.284 0.219 0.550
Si4 0.339 0.079 0.812
Si5 0.352 0.774 0.697
Si6 0.448 0.605 0.943
Si7 0.552 0.395 0.057
Si8 0.648 0.226 0.303
Si9 0.661 0.921 0.188
Si10 0.716 0.781 0.450
Si11 0.731 0.930 0.020
Si12 0.746 0.145 0.462

# 2
Simulated PXRD pattern
Compound: Mg3Si4
Radiation: Cu Kα, 1.54184 Å
Structure: a cell relaxed with PBE
Intensities are scaled so that the largest is 100.

The 8 most intense peaks (2θ from 10° to 80°), sorted by position:
2θ (°), d [Å], intensity
34.19, 2.622, 100
38.27, 2.352, 73
39.20, 2.298, 30
39.28, 2.294, 48
39.50, 2.281, 22
39.81, 2.264, 29
40.12, 2.248, 29
40.64, 2.220, 38

Atomic structure:
Cell lengths 5.353, 6.972, 7.781 Å; angles 67.93, 72.69, 79.18 degrees
Sites, in units of the cell vectors:
Mg1 0.000 0.000 0.000
Mg2 0.001 0.482 0.666
Mg3 0.268 0.255 0.303
Mg4 0.486 0.264 0.896
Mg5 0.642 0.764 0.908
Mg6 0.856 0.937 0.413
Si1 0.156 0.597 0.984
Si2 0.210 0.657 0.269
Si3 0.367 0.085 0.659
Si4 0.422 0.713 0.621
Si5 0.485 0.906 0.227
Si6 0.602 0.400 0.457
Si7 0.836 0.349 0.108
Si8 0.898 0.117 0.648

# 3
Simulated PXRD pattern
Compound: Mg3Si4
Radiation: Cu Kα, 1.54184 Å
Structure: a cell relaxed with PBE
Intensities are scaled so that the largest is 100.

The 8 most intense peaks (2θ from 10° to 80°), sorted by position:
2θ (°), d [Å], intensity
32.01, 2.796, 22
32.61, 2.746, 53
34.03, 2.635, 53
37.52, 2.397, 47
37.91, 2.373, 64
39.09, 2.304, 100
41.00, 2.202, 27
44.51, 2.036, 68

Atomic structure:
Cell lengths 8.124, 4.071, 8.401 Å; angles 90.00, 113.67, 90.00 degrees
Sites, in units of the cell vectors:
Mg1 0.000 0.000 0.000
Mg2 0.023 0.000 0.620
Mg3 0.340 0.500 0.636
Mg4 0.368 0.500 0.237
Mg5 0.661 0.500 0.028
Mg6 0.771 0.500 0.697
Si1 0.017 0.500 0.250
Si2 0.177 0.500 0.877
Si3 0.181 0.000 0.380
Si4 0.383 0.000 0.970
Si5 0.504 0.000 0.487
Si6 0.604 0.000 0.806
Si7 0.630 0.000 0.267
Si8 0.806 0.500 0.383